Record 1
Cs4Tl4Ge: computed powder diffractogram (a wavelength of 1.5418 Å), based on a cell relaxed with PBE.
Peak positions follow from Bragg's law for the DFT cell and can differ from measured ones.

Largest 10 diffraction maxima, by intensity, 15 to 90 degrees two-theta:
hkl, 2θ (°), I/Imax
1 1 4, 25.01, 100
1 1 6, 31.33, 80
2 0 0, 26.41, 65
3 1 6, 49.80, 35
3 1 4, 45.78, 34
2 2 0, 37.70, 30
2 0 10, 50.53, 25
2 0 2, 27.72, 15
2 2 10, 57.91, 12
2 1 3, 32.20, 12

```
data_Cs4Tl4Ge
_space_group_name_H-M_alt 'I -4 2 m'
_space_group_IT_number 121
_space_group_name_Hall 'I -4 2'
_cell_length_a 6.749
_cell_length_b 6.749
_cell_length_c 21.383
_cell_angle_alpha 90.00
_cell_angle_beta 90.00
_cell_angle_gamma 90.00
loop_
_atom_site_label
_atom_site_fract_x
_atom_site_fract_y
_atom_site_fract_z
Cs1 0.240 0.240 0.146
Tl1 0.220 0.220 0.457
Ge1 0.000 0.000 0.000
```

***

Record 2
HoMg3Ag: computed powder diffractogram (a wavelength of 1.5418 Å), based on a cell relaxed with PBE.
Peak positions follow from Bragg's law for the DFT cell and can differ from measured ones.

Largest 10 diffraction maxima, by intensity, 15 to 90 degrees two-theta:
hkl, 2θ (°), I/Imax
1 1 3, 32.53, 100
2 1 2, 32.93, 67
2 1 0, 29.74, 62
3 0 3, 35.42, 36
1 0 2, 16.72, 35
1 0 3, 22.85, 31
1 1 5, 43.35, 26
0 2 0, 46.67, 26
1 0 5, 36.32, 23
5 1 3, 58.44, 22

```
data_HoMg3Ag
_space_group_name_H-M_alt 'P n m a'
_space_group_IT_number 62
_cell_length_a 9.446
_cell_length_b 3.892
_cell_length_c 12.815
_cell_angle_alpha 90.00
_cell_angle_beta 90.00
_cell_angle_gamma 90.00
loop_
_space_group_symop_operation_xyz
'x,y,z'
'-x,-y,-z'
'-x+1/2,-y,z+1/2'
'x+1/2,y,-z+1/2'
'x+1/2,-y+1/2,-z+1/2'
'-x+1/2,y+1/2,z+1/2'
'-x,y+1/2,-z'
'x,-y+1/2,z'
loop_
_atom_site_label
_atom_site_fract_x
_atom_site_fract_y
_atom_site_fract_z
Ho1 0.164 0.250 0.007
Mg1 0.063 0.250 0.415
Mg2 0.090 0.750 0.220
Mg3 0.158 0.750 0.792
Ag1 0.143 0.250 0.629
```

***

Record 3
Na2ThSbTe4: computed powder diffractogram (a wavelength of 1.5418 Å), based on a cell relaxed with PBE.
Peak positions follow from Bragg's law for the DFT cell and can differ from measured ones.

Largest 10 diffraction maxima, by intensity, 15 to 90 degrees two-theta:
hkl, 2θ (°), I/Imax
1 1 1, 27.65, 100
1 1 -3, 39.22, 26
3 1 -1, 39.76, 24
2 2 -2, 49.27, 14
2 0 2, 39.09, 13
0 2 0, 39.97, 13
0 2 4, 64.20, 12
4 2 0, 64.96, 11
0 1 1, 22.95, 11
2 2 2, 57.14, 8

```
data_Na2ThSbTe4
_space_group_name_H-M_alt 'P 1 2/m 1'
_space_group_IT_number 10
_cell_length_a 7.866
_cell_length_b 4.512
_cell_length_c 8.006
_cell_angle_alpha 90.00
_cell_angle_beta 108.99
_cell_angle_gamma 90.00
loop_
_space_group_symop_operation_xyz
'x,y,z'
'-x,-y,-z'
'-x,y,-z'
'x,-y,z'
loop_
_atom_site_label
_atom_site_fract_x
_atom_site_fract_y
_atom_site_fract_z
Na1 0.000 0.000 0.000
Na2 0.000 0.500 0.500
Th1 0.500 0.000 0.500
Sb1 0.500 0.500 0.000
Te1 0.263 0.500 0.253
Te2 0.271 0.000 0.757
```

***

Record 4
Tb3CeDy2: computed powder diffractogram (a wavelength of 1.5418 Å), based on a cell relaxed with PBE.
Peak positions follow from Bragg's law for the DFT cell and can differ from measured ones.

Largest 10 diffraction maxima, by intensity, 15 to 90 degrees two-theta:
hkl, 2θ (°), I/Imax
1 3 1, 30.86, 100
2 0 2, 51.50, 36
2 0 0, 35.76, 34
1 3 3, 61.29, 28
0 6 0, 35.82, 17
3 3 1, 61.17, 14
2 6 2, 64.29, 12
3 3 3, 84.02, 12
2 0 4, 86.81, 8
1 9 3, 84.13, 6

```
data_Tb3CeDy2
_space_group_name_H-M_alt 'C m m m'
_space_group_IT_number 65
_space_group_name_Hall '-C 2 2'
_cell_length_a 5.027
_cell_length_b 15.040
_cell_length_c 5.017
_cell_angle_alpha 90.00
_cell_angle_beta 90.00
_cell_angle_gamma 90.00
loop_
_atom_site_label
_atom_site_fract_x
_atom_site_fract_y
_atom_site_fract_z
Tb1 0.000 0.000 0.000
Tb2 0.000 0.336 0.000
Ce1 0.000 0.500 0.500
Dy1 0.000 0.167 0.500
```

***

Record 5
NaPaBrF4: computed powder diffractogram (a wavelength of 1.5418 Å), based on a cell relaxed with PBE.
Peak positions follow from Bragg's law for the DFT cell and can differ from measured ones.

Largest 10 diffraction maxima, by intensity, 15 to 90 degrees two-theta:
hkl, 2θ (°), I/Imax
0 2 0, 24.37, 100
1 1 -1, 17.20, 92
2 0 0, 16.63, 67
3 1 -2, 31.10, 61
1 1 2, 30.93, 60
3 1 -1, 26.85, 41
2 0 1, 23.73, 39
1 3 2, 47.17, 39
4 0 0, 33.61, 33
1 1 -2, 25.99, 31

```
data_NaPaBrF4
_space_group_name_H-M_alt 'C 1 2/m 1'
_space_group_IT_number 12
_cell_length_a 11.325
_cell_length_b 7.304
_cell_length_c 7.765
_cell_angle_alpha 90.00
_cell_angle_beta 109.67
_cell_angle_gamma 90.00
loop_
_space_group_symop_operation_xyz
'x,y,z'
'-x,-y,-z'
'-x,y,-z'
'x,-y,z'
'x+1/2,y+1/2,z'
'-x+1/2,-y+1/2,-z'
'-x+1/2,y+1/2,-z'
'x+1/2,-y+1/2,z'
loop_
_atom_site_label
_atom_site_fract_x
_atom_site_fract_y
_atom_site_fract_z
Na1 0.136 0.000 0.300
Pa1 0.234 0.500 0.106
Br1 0.005 0.500 0.229
F1 0.068 0.000 0.836
F2 0.204 0.000 0.600
F3 0.226 0.191 0.141
```

***

Record 6
Ac2La4Dy7: computed powder diffractogram (a wavelength of 1.5418 Å), based on a cell relaxed with PBE.
Peak positions follow from Bragg's law for the DFT cell and can differ from measured ones.

Largest 10 diffraction maxima, by intensity, 15 to 90 degrees two-theta:
hkl, 2θ (°), I/Imax
1 1 2, 31.38, 100
1 1 1, 29.20, 39
2 -1 3, 34.75, 37
3 0 0, 50.36, 29
0 0 4, 26.17, 21
1 1 6, 49.55, 19
0 0 5, 32.88, 17
2 -1 8, 62.00, 15
1 1 0, 28.44, 15
4 -2 2, 60.55, 15

```
data_Ac2La4Dy7
_space_group_name_H-M_alt 'P -3 1 m'
_space_group_IT_number 162
_space_group_name_Hall '-P 3 2'
_cell_length_a 6.2769
_cell_length_b 6.2769
_cell_length_c 13.6227
_cell_angle_alpha 90.00
_cell_angle_beta 90.00
_cell_angle_gamma 120.00
loop_
_atom_site_label
_atom_site_fract_x
_atom_site_fract_y
_atom_site_fract_z
Ac1 0.3333 0.6667 0.0000
La1 0.0000 0.0000 0.3918
La2 0.3333 0.6667 0.5000
Dy1 0.0000 0.0000 0.0000
Dy2 0.0000 0.3547 0.7843
```

***

Record 7
SrTl2Hg2: computed powder diffractogram (a wavelength of 1.5418 Å), based on a cell relaxed with PBE.
Peak positions follow from Bragg's law for the DFT cell and can differ from measured ones.

Largest 10 diffraction maxima, by intensity, 15 to 90 degrees two-theta:
hkl, 2θ (°), I/Imax
3 0 1, 30.29, 100
4 1 1, 38.21, 43
0 0 2, 36.49, 37
3 3 0, 34.41, 34
2 2 1, 29.16, 32
4 2 1, 40.84, 28
5 5 0, 59.10, 26
3 3 2, 51.03, 23
2 1 0, 17.94, 19
3 1 1, 31.38, 16

```
data_SrTl2Hg2
_space_group_name_H-M_alt 'P 42/m n m'
_space_group_IT_number 136
_space_group_name_Hall '-P 4n 2n'
_cell_length_a 11.057
_cell_length_b 11.057
_cell_length_c 4.925
_cell_angle_alpha 90.00
_cell_angle_beta 90.00
_cell_angle_gamma 90.00
loop_
_atom_site_label
_atom_site_fract_x
_atom_site_fract_y
_atom_site_fract_z
Sr1 0.141 0.141 0.000
Tl1 0.021 0.355 0.500
Hg1 0.094 0.906 0.500
Hg2 0.197 0.803 0.000
```